(1)
For GdAgSeS, the PBE geometry in OQMD gives the simulated powder XRD pattern in this record (Cu Kα, 1.54184 Å).
Intensities are scaled so that the largest is 100.

Principal peaks in the range 10° ≤ 2θ ≤ 90°, by angle:
2θ/deg, intensity
20.87, 32
24.77, 41
26.58, 66
28.41, 44
33.62, 28
34.03, 31
36.46, 34
37.03, 33
37.94, 100
45.84, 28
46.47, 34
47.10, 31

Structural model:
```
GdAgSeS
1.0
4.258 0.000 0.000
0.000 6.708 0.000
-0.160 0.000 6.707
Gd Ag Se S
2 2 2 2
direct
0.215 0.000 0.265
0.785 0.500 0.735
0.001 0.494 0.250
0.999 0.994 0.750
0.286 0.295 0.952
0.714 0.795 0.048
0.265 0.699 0.549
0.735 0.199 0.451
```



(2)
For Cu10Pb, the PBE geometry in OQMD gives the simulated powder XRD pattern in this record (Cu Kα, 1.54184 Å).
Intensities are scaled so that the largest is 100.

Principal peaks in the range 10° ≤ 2θ ≤ 90°, by angle:
2θ/deg, intensity
27.41, 24
28.02, 16
28.94, 16
31.78, 22
37.82, 23
40.20, 16
42.75, 100
43.31, 93
44.19, 35
48.17, 26
50.96, 38
51.14, 30

Structural model:
```
Cu10Pb
1.0
4.009 -1.792 0.000
4.009 1.792 0.000
-0.138 0.000 27.764
Cu Pb
20 2
direct
0.044 0.044 0.398
0.053 0.053 0.690
0.142 0.142 0.777
0.149 0.149 0.485
0.248 0.248 0.280
0.255 0.255 0.573
0.344 0.344 0.368
0.356 0.356 0.660
0.446 0.446 0.456
0.448 0.448 0.749
0.552 0.552 0.251
0.554 0.554 0.544
0.644 0.644 0.340
0.656 0.656 0.632
0.745 0.745 0.427
0.752 0.752 0.720
0.851 0.851 0.515
0.858 0.858 0.223
0.947 0.947 0.310
0.956 0.956 0.602
0.159 0.159 0.172
0.841 0.841 0.828
```



(3)
For Y4Lu3Ni2Te2, the PBE geometry in OQMD gives the simulated powder XRD pattern in this record (Cu Kα, 1.54184 Å).
Intensities are scaled so that the largest is 100.

Principal peaks in the range 10° ≤ 2θ ≤ 90°, by angle:
2θ/deg, intensity
10.89, 27
25.00, 26
28.98, 43
30.33, 37
30.44, 53
33.08, 95
34.20, 100
34.68, 99
36.69, 39
38.55, 35
47.36, 37
58.98, 36

Structural model:
```
Y4Lu3Ni2Te2
1.0
-1.920 7.747 4.771
1.920 -7.747 4.771
1.920 7.747 -4.771
Y Lu Ni Te
4 3 2 2
direct
0.132 0.000 0.132
0.206 0.852 0.354
0.499 0.852 0.646
0.868 0.000 0.868
0.517 0.201 0.315
0.583 0.583 0.000
0.886 0.201 0.685
0.276 0.513 0.763
0.751 0.513 0.237
0.247 0.247 0.000
0.844 0.344 0.500
```



(4)
For Li4SiAg2Sn, the PBE geometry in OQMD gives the simulated powder XRD pattern in this record (Cu Kα, 1.54184 Å).
Intensities are scaled so that the largest is 100.

Principal peaks in the range 10° ≤ 2θ ≤ 90°, by angle:
2θ/deg, intensity
20.05, 10
24.39, 100
31.77, 14
34.42, 9
40.16, 61
40.76, 31
47.01, 14
48.07, 31
59.00, 10
63.94, 11
72.56, 8
73.78, 20

Structural model:
```
Li4SiAg2Sn
1.0
4.428 0.000 0.000
0.000 4.428 0.000
0.000 0.000 6.445
Li Si Ag Sn
4 1 2 1
direct
0.000 0.000 0.000
0.000 0.500 0.227
0.500 0.000 0.773
0.500 0.500 0.500
0.500 0.500 0.000
0.000 0.500 0.777
0.500 0.000 0.223
0.000 0.000 0.500
```



(5)
For TbHoS2Cl2, the PBE geometry in OQMD gives the simulated powder XRD pattern in this record (Cu Kα, 1.54184 Å).
Intensities are scaled so that the largest is 100.

Principal peaks in the range 10° ≤ 2θ ≤ 90°, by angle:
2θ/deg, intensity
10.53, 100
19.65, 75
24.66, 29
26.97, 16
29.84, 26
30.87, 66
33.45, 28
35.17, 14
42.00, 14
42.88, 32
46.16, 41
57.50, 20

Structural model:
```
TbHoS2Cl2
1.0
3.998 0.000 0.000
0.000 5.358 0.000
0.000 0.000 8.404
Tb Ho S Cl
1 1 2 2
direct
0.000 0.000 0.000
0.500 0.500 0.279
0.000 0.500 0.057
0.500 0.000 0.227
0.000 0.500 0.487
0.500 0.000 0.787
```



(6)
For CuAg3, the PBE geometry in OQMD gives the simulated powder XRD pattern in this record (Cu Kα, 1.54184 Å).
Intensities are scaled so that the largest is 100.

Principal peaks in the range 10° ≤ 2θ ≤ 90°, by angle:
2θ/deg, intensity
30.36, 4
38.57, 100
38.68, 98
44.80, 32
44.96, 63
65.33, 48
65.61, 9
78.41, 11
78.53, 34
78.77, 22
82.69, 10
82.96, 10

Structural model:
```
CuAg3
1.0
0.000 4.046 5.692
2.857 0.000 5.692
2.857 4.046 0.000
Cu Ag
2 6
direct
0.119 0.119 0.881
0.881 0.881 0.119
0.000 0.000 0.500
0.250 0.250 0.250
0.371 0.371 0.629
0.500 0.500 0.000
0.629 0.629 0.371
0.750 0.750 0.750
```



(7)
For NdGdSi4Ag2, the PBE geometry in OQMD gives the simulated powder XRD pattern in this record (Cu Kα, 1.54184 Å).
Intensities are scaled so that the largest is 100.

Principal peaks in the range 10° ≤ 2θ ≤ 90°, by angle:
2θ/deg, intensity
10.06, 11
21.92, 12
23.47, 17
29.41, 11
30.49, 19
33.33, 20
33.94, 100
43.07, 17
43.43, 17
56.43, 11
62.82, 11
73.10, 10

Structural model:
```
NdGdSi4Ag2
1.0
4.201 0.000 0.000
0.000 2.083 8.794
0.000 -2.083 8.794
Nd Gd Si Ag
1 1 4 2
direct
0.000 0.000 0.000
0.500 0.192 0.192
0.000 0.629 0.629
0.000 0.759 0.759
0.500 0.433 0.433
0.500 0.565 0.565
0.000 0.344 0.344
0.500 0.846 0.846
```



(8)
For Hf2ZrCo4As4, the PBE geometry in OQMD gives the simulated powder XRD pattern in this record (Cu Kα, 1.54184 Å).
Intensities are scaled so that the largest is 100.

Principal peaks in the range 10° ≤ 2θ ≤ 90°, by angle:
2θ/deg, intensity
12.38, 93
23.12, 32
36.77, 46
36.97, 49
37.34, 80
37.61, 29
38.77, 92
39.12, 100
40.20, 28
44.74, 60
46.88, 33
47.26, 94

Structural model:
```
Hf2ZrCo4As4
1.0
6.331 0.000 0.000
0.000 3.848 0.000
-0.131 0.000 7.148
Hf Zr Co As
2 1 4 4
direct
0.000 0.000 0.000
0.488 0.000 0.860
0.532 0.500 0.481
0.176 0.500 0.739
0.395 0.000 0.231
0.668 0.500 0.111
0.869 0.000 0.626
0.222 0.000 0.538
0.283 0.500 0.084
0.771 0.000 0.303
0.792 0.500 0.793
```



Please write out number 8 again, unchanged.
For Hf2ZrCo4As4, the PBE geometry in OQMD gives the simulated powder XRD pattern in this record (Cu Kα, 1.54184 Å).
Intensities are scaled so that the largest is 100.

Principal peaks in the range 10° ≤ 2θ ≤ 90°, by angle:
2θ/deg, intensity
12.38, 93
23.12, 32
36.77, 46
36.97, 49
37.34, 80
37.61, 29
38.77, 92
39.12, 100
40.20, 28
44.74, 60
46.88, 33
47.26, 94

Structural model:
```
Hf2ZrCo4As4
1.0
6.331 0.000 0.000
0.000 3.848 0.000
-0.131 0.000 7.148
Hf Zr Co As
2 1 4 4
direct
0.000 0.000 0.000
0.488 0.000 0.860
0.532 0.500 0.481
0.176 0.500 0.739
0.395 0.000 0.231
0.668 0.500 0.111
0.869 0.000 0.626
0.222 0.000 0.538
0.283 0.500 0.084
0.771 0.000 0.303
0.792 0.500 0.793
```



> Which formula does entry 2 have?

Cu10Pb



What did the fourth record say?
For Li4SiAg2Sn, the PBE geometry in OQMD gives the simulated powder XRD pattern in this record (Cu Kα, 1.54184 Å).
Intensities are scaled so that the largest is 100.

Principal peaks in the range 10° ≤ 2θ ≤ 90°, by angle:
2θ/deg, intensity
20.05, 10
24.39, 100
31.77, 14
34.42, 9
40.16, 61
40.76, 31
47.01, 14
48.07, 31
59.00, 10
63.94, 11
72.56, 8
73.78, 20

Structural model:
```
Li4SiAg2Sn
1.0
4.428 0.000 0.000
0.000 4.428 0.000
0.000 0.000 6.445
Li Si Ag Sn
4 1 2 1
direct
0.000 0.000 0.000
0.000 0.500 0.227
0.500 0.000 0.773
0.500 0.500 0.500
0.500 0.500 0.000
0.000 0.500 0.777
0.500 0.000 0.223
0.000 0.000 0.500
```